Entry 1:
The following is a simulated powder X-ray diffraction pattern of SrPmY. It was derived from DFT lattice parameters and positions (PBE), using Cu Kα (λ = 1.5418 Å).
Lines closer than 0.1° are merged.

Cell and atoms:
abc: 3.770 3.770 16.268
angles: 90.00 90.00 90.00
Positions (direct):
Sr 0.000 0.000 0.000
Sr 0.500 0.500 0.500
Pm 0.000 0.000 0.320
Pm 0.500 0.500 0.820
Y 0.000 0.000 0.679
Y 0.500 0.500 0.179

The 10 most intense peaks (10° ≤ 2θ ≤ 90°), low angle first:
(hkl)  2θ/deg  intensity
0 0 2  10.9  13
1 0 3  28.8  100
0 0 6  33.0  15
1 1 0  33.6  35
1 1 6  47.9  21
2 0 0  48.3  12
1 0 9  56.5  10
2 1 3  57.2  28
2 0 6  59.7  11
2 1 9  77.4  8



Entry 2:
The following is a simulated powder X-ray diffraction pattern of SrPm2Zn3. It was derived from DFT lattice parameters and positions (PBE), using Cu Kα (λ = 1.5418 Å).
Lines closer than 0.1° are merged.

Cell and atoms:
abc: 3.722 3.722 11.300
angles: 90.00 90.00 90.00
Positions (direct):
Sr 0.000 0.000 0.000
Pm 0.000 0.000 0.342
Pm 0.000 0.000 0.658
Zn 0.500 0.500 0.190
Zn 0.500 0.500 0.500
Zn 0.500 0.500 0.810

The 10 most intense peaks (10° ≤ 2θ ≤ 90°), low angle first:
(hkl)  2θ/deg  intensity
1 0 0  23.9  10
1 0 3  33.9  100
1 1 0  34.1  52
0 0 6  48.3  8
2 0 0  48.9  19
1 1 6  60.4  15
2 1 3  60.8  36
2 0 6  71.2  9
3 0 3  81.7  8
3 1 0  81.8  8



Entry 3:
The following is a simulated powder X-ray diffraction pattern of Pm2ThTa. It was derived from DFT lattice parameters and positions (PBE), using Cu Kα (λ = 1.5418 Å).
Lines closer than 0.1° are merged.

Cell and atoms:
abc: 3.322 3.322 35.924
angles: 90.00 90.00 120.00
Positions (direct):
Pm 0.000 0.000 0.082
Pm 0.000 0.000 0.918
Pm 0.333 0.667 0.585
Pm 0.333 0.667 0.749
Pm 0.667 0.333 0.251
Pm 0.667 0.333 0.415
Th 0.000 0.000 0.500
Th 0.333 0.667 0.167
Th 0.667 0.333 0.833
Ta 0.000 0.000 0.000
Ta 0.333 0.667 0.667
Ta 0.667 0.333 0.333

The 10 most intense peaks (10° ≤ 2θ ≤ 90°), low angle first:
(hkl)  2θ/deg  intensity
0 0 12  29.8  61
0 1 2  31.5  100
1 0 4  32.7  20
0 1 5  33.6  24
1 0 7  35.8  22
1 0 10  40.2  48
0 1 14  47.5  35
1 1 0  55.3  33
1 1 12  64.1  42
1 1 24  87.8  18



Please write out number 1 again, unchanged.
The following is a simulated powder X-ray diffraction pattern of SrPmY. It was derived from DFT lattice parameters and positions (PBE), using Cu Kα (λ = 1.5418 Å).
Lines closer than 0.1° are merged.

Cell and atoms:
abc: 3.770 3.770 16.268
angles: 90.00 90.00 90.00
Positions (direct):
Sr 0.000 0.000 0.000
Sr 0.500 0.500 0.500
Pm 0.000 0.000 0.320
Pm 0.500 0.500 0.820
Y 0.000 0.000 0.679
Y 0.500 0.500 0.179

The 10 most intense peaks (10° ≤ 2θ ≤ 90°), low angle first:
(hkl)  2θ/deg  intensity
0 0 2  10.9  13
1 0 3  28.8  100
0 0 6  33.0  15
1 1 0  33.6  35
1 1 6  47.9  21
2 0 0  48.3  12
1 0 9  56.5  10
2 1 3  57.2  28
2 0 6  59.7  11
2 1 9  77.4  8